Record 1
Structure and calculated powder X-ray diffraction pattern of Fe2O3 (DFT lattice parameters and positions (GGA+U); Cu Kα, 1.54184 Å).
Neutral-atom scattering factors, no anomalous dispersion.

Peak list (6 most intense, 5 to 70 degrees two-theta, by angle)
2theta	I (rel.)	(hkl)
30.83	100	0 2 2
42.43	21	1 3 0
44.29	38	1 3 1
49.52	27	1 3 2
50.00	21	1 1 3
63.92	26	0 6 2

Structural model:
```
data_Fe2O3
_chemical_formula_sum 'Fe8 O12'
_cell_length_a 2.872
_cell_length_b 9.527
_cell_length_c 7.312
_cell_angle_alpha 90.00
_cell_angle_beta 90.00
_cell_angle_gamma 90.00
_space_group_name_H-M_alt 'C m c m'
_space_group_IT_number 63
_space_group_name_Hall '-C 2c 2'
loop_
_atom_site_label
_atom_site_type_symbol
_atom_site_fract_x
_atom_site_fract_y
_atom_site_fract_z
_atom_site_occupancy
Fe1 Fe 0.000 0.000 0.000 1
Fe2 Fe 0.000 0.249 0.250 1
O1 O 0.000 0.103 0.750 1
O2 O 0.000 0.361 0.575 1
```

=====

Record 2
Structure and calculated powder X-ray diffraction pattern of AlCuW2O8 (DFT lattice parameters and positions (GGA+U); Cu Kα, 1.54184 Å).
Neutral-atom scattering factors, no anomalous dispersion.

Peak list (6 most intense, 5 to 70 degrees two-theta, by angle)
2theta	I (rel.)	(hkl)
16.70	60	0 0 1
18.66	100	0 1 0
27.85	96	1 0 1
28.70	92	-1 1 1
31.40	62	1 1 -1
32.98	55	1 -2 1

Structural model:
```
data_AlCuW2O8
_chemical_formula_sum 'Al1 Cu1 W2 O8'
_cell_length_a 5.072
_cell_length_b 5.602
_cell_length_c 5.729
_cell_angle_alpha 109.79
_cell_angle_beta 90.73
_cell_angle_gamma 113.68
_space_group_name_H-M_alt 'P -1'
_space_group_IT_number 2
_space_group_name_Hall '-P 1'
loop_
_atom_site_label
_atom_site_type_symbol
_atom_site_fract_x
_atom_site_fract_y
_atom_site_fract_z
_atom_site_occupancy
Al1 Al 0.000 0.000 0.000 1
Cu1 Cu 0.500 0.000 0.500 1
W1 W 0.249 0.498 0.684 1
O1 O 0.157 0.702 0.461 1
O2 O 0.210 0.780 0.937 1
O3 O 0.224 0.241 0.824 1
O4 O 0.321 0.288 0.313 1
```

=====

Record 3
Structure and calculated powder X-ray diffraction pattern of LiMnP3O9 (DFT lattice parameters and positions (GGA+U); Cu Kα, 1.54184 Å).
Neutral-atom scattering factors, no anomalous dispersion.

Peak list (6 most intense, 5 to 70 degrees two-theta, by angle)
2theta	I (rel.)	(hkl)
18.16	75	0 1 1
25.18	54	1 2 -1
27.62	41	0 1 2
28.19	45	0 1 -3
30.54	100	-3 2 1
32.64	55	2 2 -2

Structural model:
```
data_LiMnP3O9
_chemical_formula_sum 'Li4 Mn4 P12 O36'
_cell_length_a 9.551
_cell_length_b 9.604
_cell_length_c 9.858
_cell_angle_alpha 108.70
_cell_angle_beta 104.49
_cell_angle_gamma 109.88
_space_group_name_H-M_alt 'P -1'
_space_group_IT_number 2
_space_group_name_Hall '-P 1'
loop_
_atom_site_label
_atom_site_type_symbol
_atom_site_fract_x
_atom_site_fract_y
_atom_site_fract_z
_atom_site_occupancy
Li1 Li 0.068 0.313 0.210 1
Li2 Li 0.230 0.772 0.747 1
Mn1 Mn 0.328 0.928 0.507 1
Mn2 Mn 0.374 0.176 0.297 1
P1 P 0.013 0.397 0.648 1
P2 P 0.044 0.786 0.158 1
P3 P 0.193 0.082 0.913 1
P4 P 0.325 0.433 0.596 1
P5 P 0.421 0.659 0.288 1
P6 P 0.483 0.853 0.107 1
O1 O 0.009 0.366 0.798 1
O2 O 0.040 0.568 0.683 1
O3 O 0.046 0.731 0.002 1
O4 O 0.103 0.169 0.836 1
O5 O 0.113 0.902 0.804 1
O6 O 0.135 0.743 0.495 1
O7 O 0.168 0.373 0.634 1
O8 O 0.202 0.931 0.296 1
O9 O 0.221 0.138 0.083 1
O10 O 0.273 0.522 0.264 1
O11 O 0.285 0.317 0.431 1
O12 O 0.363 0.177 0.901 1
O13 O 0.376 0.828 0.956 1
O14 O 0.393 0.701 0.143 1
O15 O 0.402 0.617 0.649 1
O16 O 0.433 0.388 0.715 1
O17 O 0.458 0.985 0.746 1
O18 O 0.492 0.824 0.441 1
```